Theoretical PXRD pattern of B7C5 for Cu Kα X-rays, from a cell relaxed with GGA-PBE.
Peak positions follow from Bragg's law for the DFT cell and can differ from measured ones.

Largest 6 diffraction maxima, in order of falling intensity, 10 to 90 degrees two-theta:
- 41.30°, intensity 100
- 41.02°, intensity 90
- 44.18°, intensity 83
- 15.84°, intensity 64
- 43.72°, intensity 59
- 69.50°, intensity 31

Cell and atoms:
abc: 3.4026 4.3642 5.6149
angles: 92.71 92.94 109.15
Fractional positions:
B 0.0000 0.0000 0.0000
B 0.0372 0.6797 0.8434
B 0.3604 0.7647 0.1423
B 0.4440 0.3627 0.0507
B 0.6908 0.5053 0.3308
B 0.7468 0.0153 0.7092
B 0.7846 0.1496 0.2256
C 0.0295 0.1078 0.4706
C 0.1217 0.7978 0.4024
C 0.3297 0.7124 0.6184
C 0.4117 0.4021 0.5655
C 0.6490 0.3430 0.7897


Theoretical PXRD pattern of SmMnP2Ru for Cu Kα X-rays, from a cell relaxed with GGA-PBE.
Peak positions follow from Bragg's law for the DFT cell and can differ from measured ones.

Largest 6 diffraction maxima, in order of falling intensity, 10 to 90 degrees two-theta:
- 36.66°, intensity 100
- 35.62°, intensity 50
- 23.97°, intensity 45
- 45.14°, intensity 41
- 58.79°, intensity 23
- 77.71°, intensity 21

Cell and atoms:
abc: 4.0169 4.0169 9.7092
angles: 90.00 90.00 90.00
Fractional positions:
Sm 0.0000 0.0000 0.0000
Sm 0.5000 0.5000 0.5000
Mn 0.0000 0.5000 0.2500
Mn 0.5000 0.0000 0.7500
P 0.0000 0.0000 0.3652
P 0.0000 0.0000 0.6348
P 0.5000 0.5000 0.1348
P 0.5000 0.5000 0.8652
Ru 0.0000 0.5000 0.7500
Ru 0.5000 0.0000 0.2500


Theoretical PXRD pattern of Zr3AlTl for Cu Kα X-rays, from a cell relaxed with GGA-PBE.
Peak positions follow from Bragg's law for the DFT cell and can differ from measured ones.

Largest 6 diffraction maxima, in order of falling intensity, 10 to 90 degrees two-theta:
- 33.83°, intensity 100
- 32.87°, intensity 24
- 59.31°, intensity 20
- 44.72°, intensity 19
- 29.46°, intensity 19
- 52.25°, intensity 18

Cell and atoms:
abc: 7.0028 7.0028 5.4491
angles: 90.00 90.00 120.00
Fractional positions:
Zr 0.1895 0.3790 0.2500
Zr 0.1895 0.8105 0.2500
Zr 0.3790 0.1895 0.7500
Zr 0.6210 0.8105 0.2500
Zr 0.8105 0.1895 0.7500
Zr 0.8105 0.6210 0.7500
Al 0.0000 0.0000 0.0000
Al 0.0000 0.0000 0.5000
Tl 0.3333 0.6667 0.7500
Tl 0.6667 0.3333 0.2500


Theoretical PXRD pattern of LiCeZn for Cu Kα X-rays, from a cell relaxed with GGA-PBE.
Peak positions follow from Bragg's law for the DFT cell and can differ from measured ones.

Largest 6 diffraction maxima, in order of falling intensity, 10 to 90 degrees two-theta:
- 30.94°, intensity 100
- 39.09°, intensity 97
- 41.22°, intensity 59
- 29.07°, intensity 53
- 56.76°, intensity 38
- 37.25°, intensity 33

Cell and atoms:
abc: 3.0971 3.0971 24.1411
angles: 90.00 90.00 90.00
Fractional positions:
Li 0.0000 0.0000 0.2125
Li 0.0000 0.0000 0.7875
Li 0.5000 0.5000 0.2875
Li 0.5000 0.5000 0.7125
Ce 0.0000 0.0000 0.0558
Ce 0.0000 0.0000 0.9442
Ce 0.5000 0.5000 0.4442
Ce 0.5000 0.5000 0.5558
Zn 0.0000 0.0000 0.3502
Zn 0.0000 0.0000 0.6498
Zn 0.5000 0.5000 0.1498
Zn 0.5000 0.5000 0.8502


Theoretical PXRD pattern of Cu13Pd3 for Cu Kα X-rays, from a cell relaxed with GGA-PBE.
Peak positions follow from Bragg's law for the DFT cell and can differ from measured ones.

Largest 6 diffraction maxima, in order of falling intensity, 10 to 90 degrees two-theta:
- 42.37°, intensity 100
- 48.29°, intensity 34
- 73.14°, intensity 18
- 51.35°, intensity 14
- 85.93°, intensity 11
- 86.08°, intensity 11

Cell and atoms:
abc: 7.5465 5.1816 5.1816
angles: 86.76 90.00 90.00
Fractional positions:
Cu 0.0000 0.0000 0.0000
Cu 0.0000 0.5061 0.5061
Cu 0.0000 0.5124 0.9937
Cu 0.0000 0.9937 0.5124
Cu 0.2458 0.2538 0.7516
Cu 0.2458 0.7516 0.2538
Cu 0.2483 0.7489 0.7489
Cu 0.5000 0.4996 0.9943
Cu 0.5000 0.5030 0.5030
Cu 0.5000 0.9943 0.4996
Cu 0.7517 0.7489 0.7489
Cu 0.7542 0.2538 0.7516
Cu 0.7542 0.7516 0.2538
Pd 0.2442 0.2552 0.2552
Pd 0.5000 0.9931 0.9931
Pd 0.7558 0.2552 0.2552


Theoretical PXRD pattern of Pa4GaNi for Cu Kα X-rays, from a cell relaxed with GGA-PBE.
Peak positions follow from Bragg's law for the DFT cell and can differ from measured ones.

Largest 6 diffraction maxima, in order of falling intensity, 10 to 90 degrees two-theta:
- 33.34°, intensity 100
- 41.63°, intensity 24
- 58.05°, intensity 21
- 37.22°, intensity 18
- 32.13°, intensity 17
- 63.72°, intensity 14

Cell and atoms:
abc: 6.8607 6.8607 5.5719
angles: 90.00 90.00 90.00
Fractional positions:
Pa 0.1358 0.3468 0.0000
Pa 0.1358 0.6532 0.5000
Pa 0.3468 0.1358 0.5000
Pa 0.3468 0.8642 0.0000
Pa 0.6532 0.1358 0.0000
Pa 0.6532 0.8642 0.5000
Pa 0.8642 0.3468 0.5000
Pa 0.8642 0.6532 0.0000
Ga 0.5000 0.5000 0.2500
Ga 0.5000 0.5000 0.7500
Ni 0.0000 0.0000 0.2500
Ni 0.0000 0.0000 0.7500


Theoretical PXRD pattern of BaUBO6 for Cu Kα X-rays, from a cell relaxed with GGA-PBE.
Peak positions follow from Bragg's law for the DFT cell and can differ from measured ones.

Largest 6 diffraction maxima, in order of falling intensity, 10 to 90 degrees two-theta:
- 23.37°, intensity 100
- 23.98°, intensity 92
- 20.21°, intensity 81
- 24.48°, intensity 80
- 24.32°, intensity 77
- 20.05°, intensity 74

Cell and atoms:
abc: 4.9423 5.5492 5.7484
angles: 86.28 84.52 63.98
Fractional positions:
Ba 0.0000 0.0000 0.0000
U 0.7190 0.5534 0.4943
B 0.4138 0.1118 0.4984
O 0.1376 0.2744 0.6362
O 0.3661 0.9188 0.3581
O 0.5187 0.5473 0.7887
O 0.5691 0.2528 0.3598
O 0.6755 0.9477 0.6451
O 0.9378 0.5344 0.2041


Theoretical PXRD pattern of BaCoAs2 for Cu Kα X-rays, from a cell relaxed with GGA-PBE.
Peak positions follow from Bragg's law for the DFT cell and can differ from measured ones.

Largest 6 diffraction maxima, in order of falling intensity, 10 to 90 degrees two-theta:
- 29.39°, intensity 100
- 35.20°, intensity 68
- 44.53°, intensity 50
- 34.65°, intensity 49
- 22.19°, intensity 28
- 31.31°, intensity 24

Cell and atoms:
abc: 11.7802 4.0696 11.7932
angles: 79.88 19.88 80.24
Fractional positions:
Ba 0.1166 0.8834 0.1166
Ba 0.8834 0.1166 0.8834
Co 0.2512 0.2512 0.2488
Co 0.7512 0.7512 0.7488
As 0.3026 0.6999 0.3001
As 0.5098 0.9394 0.4902
As 0.6999 0.3026 0.6974
As 0.9394 0.5098 0.0606


Theoretical PXRD pattern of TbPm4Nd15 for Cu Kα X-rays, from a cell relaxed with GGA-PBE.
Peak positions follow from Bragg's law for the DFT cell and can differ from measured ones.

Largest 6 diffraction maxima, in order of falling intensity, 10 to 90 degrees two-theta:
- 29.81°, intensity 100
- 34.56°, intensity 51
- 49.67°, intensity 36
- 58.98°, intensity 29
- 80.68°, intensity 18
- 59.09°, intensity 14

Cell and atoms:
abc: 5.1952 5.1952 25.9146
angles: 90.00 90.00 90.00
Fractional positions:
Tb 0.0000 0.0000 0.0000
Pm 0.0000 0.0000 0.1993
Pm 0.0000 0.0000 0.3997
Pm 0.0000 0.0000 0.6003
Pm 0.0000 0.0000 0.8007
Nd 0.0000 0.5000 0.0991
Nd 0.0000 0.5000 0.2995
Nd 0.0000 0.5000 0.5000
Nd 0.0000 0.5000 0.7005
Nd 0.0000 0.5000 0.9009
Nd 0.5000 0.0000 0.0991
Nd 0.5000 0.0000 0.2995
Nd 0.5000 0.0000 0.5000
Nd 0.5000 0.0000 0.7005
Nd 0.5000 0.0000 0.9009
Nd 0.5000 0.5000 0.0000
Nd 0.5000 0.5000 0.1991
Nd 0.5000 0.5000 0.3998
Nd 0.5000 0.5000 0.6002
Nd 0.5000 0.5000 0.8009


Theoretical PXRD pattern of LaSiIrRh for Cu Kα X-rays, from a cell relaxed with GGA-PBE.
Peak positions follow from Bragg's law for the DFT cell and can differ from measured ones.

Largest 6 diffraction maxima, in order of falling intensity, 10 to 90 degrees two-theta:
- 30.90°, intensity 100
- 35.08°, intensity 60
- 34.63°, intensity 59
- 57.09°, intensity 30
- 57.99°, intensity 27
- 35.92°, intensity 26

Cell and atoms:
abc: 4.0295 4.1578 9.9339
angles: 90.00 90.00 90.00
Fractional positions:
La 0.0000 0.0000 0.0000
La 0.5000 0.5000 0.5000
Si 0.0000 0.5000 0.2477
Si 0.5000 0.0000 0.7477
Ir 0.0000 0.0000 0.6231
Ir 0.5000 0.5000 0.1231
Rh 0.0000 0.0000 0.3637
Rh 0.5000 0.5000 0.8637


Theoretical PXRD pattern of SrP2Au2S7 for Cu Kα X-rays, from a cell relaxed with GGA-PBE.
Peak positions follow from Bragg's law for the DFT cell and can differ from measured ones.

Largest 6 diffraction maxima, in order of falling intensity, 10 to 90 degrees two-theta:
- 20.07°, intensity 100
- 27.76°, intensity 56
- 18.26°, intensity 53
- 34.49°, intensity 38
- 29.29°, intensity 35
- 44.83°, intensity 29

Cell and atoms:
abc: 10.4011 10.4011 10.4011
angles: 36.00 36.00 36.00
Fractional positions:
Sr 0.0000 0.0000 0.0000
P 0.4265 0.4265 0.4265
P 0.5735 0.5735 0.5735
Au 0.2567 0.2567 0.2567
Au 0.7433 0.7433 0.7433
S 0.1198 0.3722 0.7341
S 0.2659 0.6278 0.8802
S 0.3722 0.7341 0.1198
S 0.5000 0.5000 0.5000
S 0.6278 0.8802 0.2659
S 0.7341 0.1198 0.3722
S 0.8802 0.2659 0.6278


Number 6 is which compound?
Pa4GaNi